# 1
Starting from a PBE-relaxed structure, the powder X-ray diffraction pattern of NdTm4As5 was calculated for Cu Ka.

Peak list (10 most intense, 2θ from 15° to 90°, by angle)
2θ (°)  intensity  h k l
26.6  24  4 0 -1
30.8  100  2 0 2
44.1  74  0 2 0
52.2  12  7 1 -3
54.7  20  2 2 2
54.8  6  8 0 -2
64.1  12  4 0 4
72.8  17  3 3 -2
72.9  16  7 1 2
81.1  19  5 3 0

Cell and atoms:
```
data_NdTm4As5
_symmetry_space_group_name_H-M 'C 1 2/m 1'
_symmetry_Int_Tables_number 12
_symmetry_space_group_name_Hall '-C 2y'
_cell_length_a 13.610
_cell_length_b 4.109
_cell_length_c 10.062
_cell_angle_alpha 90.00
_cell_angle_beta 119.50
_cell_angle_gamma 90.00
loop_
_atom_site_label
_atom_site_fract_x
_atom_site_fract_y
_atom_site_fract_z
_atom_site_occupancy
Nd1 0.000 0.000 0.000 1
Tm1 0.098 0.500 0.399 1
Tm2 0.201 0.000 0.796 1
As1 0.000 0.000 0.500 1
As2 0.105 0.500 0.896 1
As3 0.203 0.000 0.307 1
```


# 2
Starting from a PBE-relaxed structure, the powder X-ray diffraction pattern of Li3B4C4 was calculated for Cu Ka.

Peak list (10 most intense, 2θ from 15° to 90°, by angle)
2θ (°)  intensity  h k l
24.8  100  2 0 0
38.1  5  0 2 1
38.2  3  0 0 2
46.0  53  2 0 2
50.9  17  4 0 0
68.8  6  0 4 0
69.0  12  0 2 3
74.4  3  2 4 0
74.6  6  2 2 3
86.8  5  2 4 2

Cell and atoms:
```
data_Li3B4C4
_symmetry_space_group_name_H-M 'P m m a'
_symmetry_Int_Tables_number 51
_symmetry_space_group_name_Hall '-P 2a 2a'
_cell_length_a 7.171
_cell_length_b 5.459
_cell_length_c 4.710
_cell_angle_alpha 90.00
_cell_angle_beta 90.00
_cell_angle_gamma 90.00
loop_
_atom_site_label
_atom_site_fract_x
_atom_site_fract_y
_atom_site_fract_z
_atom_site_occupancy
Li1 0.000 0.000 0.000 1
Li2 0.000 0.259 0.500 1
B1 0.250 0.000 0.332 1
B2 0.250 0.253 0.834 1
B3 0.250 0.500 0.328 1
C1 0.250 0.000 0.671 1
C2 0.250 0.249 0.168 1
C3 0.250 0.500 0.664 1
```